UBr4O: theoretical powder X-ray diffraction pattern (copper Kα), based on DFT lattice parameters and positions (PBE).
Intensities are scaled so that the largest is 100.

Most intense lines, 2θ = 10–90°, by intensity:
2θ 11.8, d = 7.491 Å, rel. 100
2θ 23.1, d = 3.842 Å, rel. 89
2θ 41.4, d = 2.181 Å, rel. 46
2θ 26.6, d = 3.350 Å, rel. 45
2θ 16.7, d = 5.297 Å, rel. 26
2θ 38.0, d = 2.369 Å, rel. 24
2θ 48.3, d = 1.885 Å, rel. 20
2θ 33.8, d = 2.649 Å, rel. 20
2θ 51.5, d = 1.776 Å, rel. 16
2θ 33.4, d = 2.682 Å, rel. 15

Atomic structure:
Cell lengths 10.5942, 10.5942, 4.1232 Å; angles 90.00, 90.00, 90.00 degrees
Element x y z (fractional)
U 0.0000 0.0000 0.0000
U 0.5000 0.5000 0.5000
Br 0.0637 0.2418 0.0000
Br 0.2418 0.9363 0.0000
Br 0.2582 0.5637 0.5000
Br 0.4363 0.2582 0.5000
Br 0.5637 0.7418 0.5000
Br 0.7418 0.4363 0.5000
Br 0.7582 0.0637 0.0000
Br 0.9363 0.7582 0.0000
O 0.0000 0.0000 0.5000
O 0.5000 0.5000 0.0000

Yb4Br6O: theoretical powder X-ray diffraction pattern (copper Kα), based on DFT lattice parameters and positions (PBE).
Intensities are scaled so that the largest is 100.

Most intense lines, 2θ = 10–90°, by intensity:
2θ 34.6, d = 2.594 Å, rel. 100
2θ 32.7, d = 2.740 Å, rel. 99
2θ 30.9, d = 2.889 Å, rel. 95
2θ 24.6, d = 3.615 Å, rel. 85
2θ 37.4, d = 2.404 Å, rel. 64
2θ 37.8, d = 2.381 Å, rel. 48
2θ 10.6, d = 8.329 Å, rel. 43
2θ 61.8, d = 1.501 Å, rel. 40
2θ 38.7, d = 2.329 Å, rel. 39
2θ 43.2, d = 2.096 Å, rel. 38

Atomic structure:
Cell lengths 9.6177, 9.6177, 7.2776 Å; angles 90.00, 90.00, 120.00 degrees
Element x y z (fractional)
Yb 0.2028 0.4057 0.0000
Yb 0.2028 0.7972 0.0000
Yb 0.3333 0.6667 0.4136
Yb 0.4057 0.2028 0.5000
Yb 0.5943 0.7972 0.0000
Yb 0.6667 0.3333 0.9136
Yb 0.7972 0.2028 0.5000
Yb 0.7972 0.5943 0.5000
Br 0.0739 0.5369 0.7039
Br 0.1376 0.2751 0.3784
Br 0.1376 0.8624 0.3784
Br 0.2751 0.1376 0.8784
Br 0.4631 0.5369 0.7039
Br 0.4631 0.9261 0.7039
Br 0.5369 0.0739 0.2039
Br 0.5369 0.4631 0.2039
Br 0.7249 0.8624 0.3784
Br 0.8624 0.1376 0.8784
Br 0.8624 0.7249 0.8784
Br 0.9261 0.4631 0.2039
O 0.3333 0.6667 0.1016
O 0.6667 0.3333 0.6016

ZnBr2O6: theoretical powder X-ray diffraction pattern (copper Kα), based on DFT lattice parameters and positions (PBE).
Intensities are scaled so that the largest is 100.

Most intense lines, 2θ = 10–90°, by intensity:
2θ 27.9, d = 3.196 Å, rel. 100
2θ 20.7, d = 4.299 Å, rel. 88
2θ 31.5, d = 2.838 Å, rel. 86
2θ 35.2, d = 2.552 Å, rel. 51
2θ 57.6, d = 1.601 Å, rel. 44
2θ 58.8, d = 1.571 Å, rel. 26
2θ 45.5, d = 1.994 Å, rel. 26
2θ 60.8, d = 1.523 Å, rel. 23
2θ 63.1, d = 1.473 Å, rel. 23
2θ 47.9, d = 1.898 Å, rel. 23

Atomic structure:
Cell lengths 6.8386, 6.8386, 6.8386 Å; angles 43.82, 43.82, 43.82 degrees
Element x y z (fractional)
Zn 0.0000 0.0000 0.0000
Br 0.2294 0.2294 0.2294
Br 0.4402 0.4402 0.4402
O 0.1159 0.3732 0.7330
O 0.2400 0.9651 0.5830
O 0.3732 0.7330 0.1159
O 0.5830 0.2400 0.9651
O 0.7330 0.1159 0.3732
O 0.9651 0.5830 0.2400

OsBr5: theoretical powder X-ray diffraction pattern (copper Kα), based on DFT lattice parameters and positions (PBE).
Intensities are scaled so that the largest is 100.

Most intense lines, 2θ = 10–90°, by intensity:
2θ 16.2, d = 5.459 Å, rel. 100
2θ 11.5, d = 7.726 Å, rel. 100
2θ 11.6, d = 7.623 Å, rel. 86
2θ 16.4, d = 5.393 Å, rel. 70
2θ 36.7, d = 2.451 Å, rel. 59
2θ 40.2, d = 2.245 Å, rel. 48
2θ 34.5, d = 2.600 Å, rel. 41
2θ 33.2, d = 2.697 Å, rel. 37
2θ 30.3, d = 2.949 Å, rel. 33
2θ 32.8, d = 2.730 Å, rel. 28

Atomic structure:
Cell lengths 15.4528, 3.2686, 7.6233 Å; angles 90.00, 90.70, 90.00 degrees
Element x y z (fractional)
Os 0.0000 0.0000 0.0000
Os 0.5000 0.5000 0.0000
Br 0.1040 0.5000 0.8437
Br 0.1110 0.0000 0.2324
Br 0.2843 0.5000 0.5395
Br 0.4055 0.0000 0.7994
Br 0.4198 0.0000 0.2026
Br 0.6040 0.0000 0.8437
Br 0.6110 0.5000 0.2324
Br 0.7843 0.0000 0.5395
Br 0.9055 0.5000 0.7994
Br 0.9198 0.5000 0.2026